Structure and calculated XRD peak list of KGaSnPt (the GGA-PBE geometry in OQMD; Cu Kα X-rays).

Main lines, by angle (2θ from 10° to 90°):
2θ 14.19, rel. 100, (0 2 0)
2θ 18.42, rel. 24, (0 2 1)
2θ 24.50, rel. 28, (1 1 1)
2θ 30.99, rel. 29, (0 4 1)
2θ 31.90, rel. 34, (1 3 1)
2θ 38.12, rel. 32, (1 3 2)
2θ 41.11, rel. 22, (2 0 0)
2θ 41.93, rel. 48, (1 1 3)

Atomic structure:
Unit cell a=4.391 b=12.485 c=7.567 alpha=90.00 beta=90.00 gamma=90.00
Space group Cmc2_1 (No. 36)
Asymmetric unit:
K 0.000 0.049 0.000 x4
Ga 0.000 0.313 0.207 x4
Sn 0.000 0.338 0.819 x4
Pt 0.000 0.218 0.516 x4

Structure and calculated XRD peak list of NbAgB4 (the GGA-PBE geometry in OQMD; Cu Kα X-rays).

Main lines, by angle (2θ from 10° to 90°):
2θ 22.89, rel. 50, (0 0 2)
2θ 34.08, rel. 65, (1 0 0)
2θ 41.45, rel. 100, (1 0 2)
2θ 59.12, rel. 27, (1 0 4)
2θ 61.01, rel. 17, (1 1 0)
2θ 66.05, rel. 16, (1 1 2)
2θ 76.46, rel. 15, (2 0 2)
2θ 80.23, rel. 14, (1 1 4)

Atomic structure:
Unit cell a=3.0376 b=3.0376 c=7.7697 alpha=90.00 beta=90.00 gamma=120.00
Space group P6/mmm (No. 191)
Asymmetric unit:
Nb 0.0000 0.0000 0.0000 x1
Ag 0.0000 0.0000 0.5000 x1
B 0.3333 0.6667 0.2171 x4

Structure and calculated XRD peak list of Lu2Hf4Pb3N3 (the GGA-PBE geometry in OQMD; Cu Kα X-rays).

Main lines, by angle (2θ from 10° to 90°):
2θ 30.70, rel. 23, (0 2 0)
2θ 35.82, rel. 100, (3 1 -4)
2θ 36.50, rel. 20, (0 0 6)
2θ 48.41, rel. 16, (0 2 6)
2θ 54.57, rel. 21, (6 0 -2)
2θ 65.26, rel. 17, (3 1 -10)
2θ 67.01, rel. 16, (0 4 3)
2θ 67.45, rel. 21, (6 0 -8)

Atomic structure:
Unit cell a=10.087 b=5.827 c=15.149 alpha=90.00 beta=102.84 gamma=90.00
Space group C2/c (No. 15)
Asymmetric unit:
Lu 0.052 0.082 0.413 x8
Hf 0.110 0.413 0.579 x8
Hf 0.225 0.418 0.920 x8
Pb 0.000 0.430 0.250 x4
Pb 0.173 0.088 0.751 x8
N 0.085 0.255 0.000 x8
N 0.250 0.250 0.500 x4

Structure and calculated XRD peak list of Y3Mg3GaCuHg (the GGA-PBE geometry in OQMD; Cu Kα X-rays).

Main lines, by angle (2θ from 10° to 90°):
2θ 13.70, rel. 47, (1 0 0)
2θ 23.84, rel. 44, (1 1 0)
2θ 24.94, rel. 36, (1 0 1)
2θ 31.80, rel. 100, (1 1 1)
2θ 34.77, rel. 94, (2 0 1)
2θ 36.79, rel. 31, (1 2 0)
2θ 41.93, rel. 37, (3 0 0)
2θ 42.60, rel. 37, (2 1 1)

Atomic structure:
Unit cell a=7.4639 b=7.4639 c=4.2840 alpha=90.00 beta=90.00 gamma=120.00
Space group P-6 (No. 174)
Asymmetric unit:
Y 0.0127 0.5973 0.0000 x3
Mg 0.0012 0.2393 0.5000 x3
Ga 0.3333 0.6667 0.5000 x1
Cu 0.0000 0.0000 0.0000 x1
Hg 0.6667 0.3333 0.5000 x1

Structure and calculated XRD peak list of Th4H15 (the GGA-PBE geometry in OQMD; Cu Kα X-rays).

Main lines, by angle (2θ from 10° to 90°):
2θ 24.13, rel. 30, (2 1 1)
2θ 27.93, rel. 100, (2 2 0)
2θ 31.31, rel. 47, (3 1 0)
2θ 37.24, rel. 20, (3 2 1)
2θ 47.18, rel. 22, (3 3 2)
2θ 51.58, rel. 37, (5 1 0)
2θ 55.72, rel. 27, (5 2 1)
2θ 77.66, rel. 17, (7 2 1)

Atomic structure:
Unit cell a=9.035 b=9.035 c=9.035 alpha=90.00 beta=90.00 gamma=90.00
Space group I-43d (No. 220)
Asymmetric unit:
Th 0.041 0.459 0.541 x16
H 0.000 0.250 0.375 x12
H 0.028 0.377 0.159 x48

Structure and calculated XRD peak list of SrGd2O4 (the GGA-PBE geometry in OQMD; Cu Kα X-rays).

Main lines, by angle (2θ from 10° to 90°):
2θ 29.88, rel. 27, (0 0 4)
2θ 31.02, rel. 100, (3 0 2)
2θ 31.41, rel. 23, (2 1 0)
2θ 43.90, rel. 20, (2 1 4)
2θ 44.98, rel. 14, (4 1 0)
2θ 53.77, rel. 20, (3 0 6)
2θ 54.94, rel. 11, (4 1 4)
2θ 62.24, rel. 15, (3 2 2)

Atomic structure:
Unit cell a=9.882 b=3.485 c=11.961 alpha=90.00 beta=90.00 gamma=90.00
Space group Pnma (No. 62)
Asymmetric unit:
Sr 0.241 0.250 0.148 x4
Gd 0.065 0.750 0.384 x4
Gd 0.097 0.750 0.893 x4
O 0.005 0.750 0.716 x4
O 0.062 0.750 0.083 x4
O 0.140 0.250 0.510 x4
O 0.224 0.250 0.814 x4

Structure and calculated XRD peak list of Pr2NdSi2Ge2Ir4 (the GGA-PBE geometry in OQMD; Cu Kα X-rays).

Main lines, by angle (2θ from 10° to 90°):
2θ 28.00, rel. 11, (1 0 5)
2θ 28.47, rel. 14, (0 0 8)
2θ 33.12, rel. 16, (1 0 7)
2θ 33.63, rel. 100, (1 1 4)
2θ 38.77, rel. 15, (0 1 9)
2θ 43.04, rel. 20, (0 2 0)
2θ 43.89, rel. 18, (2 0 0)
2θ 63.15, rel. 13, (2 2 0)

Atomic structure:
Unit cell a=4.126 b=4.203 c=25.079 alpha=90.00 beta=90.00 gamma=90.00
Space group Immm (No. 71)
Asymmetric unit:
Pr 0.000 0.000 0.146 x4
Nd 0.000 0.500 0.000 x2
Si 0.000 0.000 0.301 x4
Ge 0.000 0.500 0.450 x4
Ir 0.000 0.000 0.397 x4
Ir 0.000 0.500 0.250 x4

Structure and calculated XRD peak list of ErTm2Co2B2As3 (the GGA-PBE geometry in OQMD; Cu Kα X-rays).

Main lines, by angle (2θ from 10° to 90°):
2θ 25.83, rel. 72, (1 0 3)
2θ 31.52, rel. 68, (0 0 8)
2θ 32.68, rel. 100, (1 1 0)
2θ 36.41, rel. 39, (1 1 4)
2θ 40.65, rel. 98, (1 1 6)
2θ 46.04, rel. 39, (1 1 8)
2θ 46.89, rel. 71, (2 0 0)
2θ 57.60, rel. 48, (2 0 8)

Atomic structure:
Unit cell a=3.875 b=3.875 c=22.706 alpha=90.00 beta=90.00 gamma=90.00
Space group I4/mmm (No. 139)
Asymmetric unit:
Er 0.000 0.000 0.000 x2
Tm 0.000 0.000 0.354 x4
Co 0.000 0.500 0.250 x4
B 0.000 0.000 0.217 x4
As 0.000 0.000 0.124 x4
As 0.000 0.000 0.500 x2

Structure and calculated XRD peak list of La2Co2Br (the GGA-PBE geometry in OQMD; Cu Kα X-rays).

Main lines, by angle (2θ from 10° to 90°):
2θ 10.23, rel. 19, (0 0 1)
2θ 25.69, rel. 25, (1 0 0)
2θ 33.11, rel. 100, (1 0 2)
2θ 40.69, rel. 15, (1 0 3)
2θ 45.29, rel. 36, (1 1 0)
2θ 57.24, rel. 20, (2 0 2)
2θ 63.30, rel. 18, (1 1 4)
2θ 75.83, rel. 17, (2 1 2)

Atomic structure:
Unit cell a=4.0048 b=4.0048 c=8.6501 alpha=90.00 beta=90.00 gamma=120.00
Space group P-6m2 (No. 187)
Asymmetric unit:
La 0.0000 0.0000 0.2191 x2
Co 0.3333 0.6667 0.0000 x1
Co 0.6667 0.3333 0.0000 x1
Br 0.6667 0.3333 0.5000 x1

Structure and calculated XRD peak list of SmZnGa2Pd2 (the GGA-PBE geometry in OQMD; Cu Kα X-rays).

Main lines, by angle (2θ from 10° to 90°):
2θ 28.20, rel. 17, (0 2 1)
2θ 33.40, rel. 36, (1 3 0)
2θ 38.76, rel. 19, (0 4 0)
2θ 39.54, rel. 100, (2 0 1)
2θ 41.80, rel. 25, (0 0 2)
2θ 54.53, rel. 17, (1 3 2)
2θ 63.84, rel. 24, (0 6 1)
2θ 85.14, rel. 19, (4 0 2)

Atomic structure:
Unit cell a=5.362 b=9.297 c=4.322 alpha=90.00 beta=90.00 gamma=90.00
Space group Cmmm (No. 65)
Asymmetric unit:
Sm 0.000 0.000 0.000 x2
Zn 0.000 0.500 0.500 x2
Ga 0.250 0.250 0.500 x4
Pd 0.000 0.333 0.000 x4

Structure and calculated XRD peak list of Y4SiAuN2 (the GGA-PBE geometry in OQMD; Cu Kα X-rays).

Main lines, by angle (2θ from 10° to 90°):
2θ 29.32, rel. 28, (1 0 0)
2θ 34.85, rel. 100, (1 0 3)
2θ 37.33, rel. 15, (0 0 6)
2θ 48.16, rel. 17, (1 0 6)
2θ 52.01, rel. 23, (1 1 0)
2θ 64.14, rel. 17, (2 0 3)
2θ 65.74, rel. 29, (1 1 6)
2θ 87.03, rel. 17, (2 1 3)

Atomic structure:
Unit cell a=3.5168 b=3.5168 c=14.4549 alpha=90.00 beta=90.00 gamma=120.00
Space group P-6m2 (No. 187)
Asymmetric unit:
Y 0.0000 0.0000 0.1544 x2
Y 0.3333 0.6667 0.3439 x2
Si 0.3333 0.6667 0.0000 x1
Au 0.0000 0.0000 0.5000 x1
N 0.6667 0.3333 0.2454 x2

Structure and calculated XRD peak list of RbW2Br6N2 (the GGA-PBE geometry in OQMD; Cu Kα X-rays).

Main lines, by angle (2θ from 10° to 90°):
2θ 10.06, rel. 57, (0 1 1)
2θ 13.10, rel. 87, (0 0 2)
2θ 24.37, rel. 83, (1 0 1)
2θ 24.69, rel. 29, (1 1 0)
2θ 30.50, rel. 100, (0 3 3)
2θ 42.82, rel. 48, (1 3 4)
2θ 44.19, rel. 35, (1 4 3)
2θ 57.91, rel. 32, (2 3 3)

Atomic structure:
Unit cell a=3.794 b=11.579 c=13.516 alpha=90.00 beta=90.00 gamma=90.00
Space group Immm (No. 71)
Asymmetric unit:
Rb 0.000 0.000 0.000 x2
W 0.000 0.148 0.500 x4
Br 0.000 0.000 0.350 x4
Br 0.000 0.303 0.369 x8
N 0.000 0.373 0.000 x4